No. 1
Structure and calculated XRD peak list of Li3Cu2Pd7 (a structure optimized by DFT (GGA-PBE); Cu Kα (weighted mean of Kα1 and Kα2)).
Kinematic intensities with the Lorentz-polarization factor, no thermal factor.

Structural model:
Cell: 4.571 4.775 9.262 Å, 104.22 90.56 109.05°
Fractional positions:
Li1 0.000 0.000 0.000
Li2 0.428 0.181 0.647
Li3 0.572 0.819 0.353
Cu1 0.140 0.215 0.300
Cu2 0.860 0.785 0.700
Pd1 0.039 0.624 0.174
Pd2 0.274 0.576 0.570
Pd3 0.432 0.909 0.851
Pd4 0.500 0.500 0.000
Pd5 0.568 0.091 0.149
Pd6 0.726 0.424 0.430
Pd7 0.961 0.376 0.826

Most intense lines, 10 to 80 degrees two-theta, most intense first:
2θ 41.23, intensity 100
2θ 42.26, intensity 97
2θ 43.44, intensity 97
2θ 24.51, intensity 80
2θ 41.06, intensity 78
2θ 44.12, intensity 72
2θ 47.97, intensity 58
2θ 20.40, intensity 48
2θ 20.20, intensity 43
2θ 43.11, intensity 41
2θ 39.96, intensity 36
2θ 40.95, intensity 36


No. 2
Structure and calculated XRD peak list of SrMg10Ga3 (a structure optimized by DFT (GGA-PBE); Cu Kα (weighted mean of Kα1 and Kα2)).
Kinematic intensities with the Lorentz-polarization factor, no thermal factor.

Structural model:
Cell: 9.941 9.941 9.941 Å, 60.00 60.00 60.00°
Fractional positions:
Sr1 0.250 0.250 0.250
Sr2 0.750 0.750 0.750
Mg1 0.000 0.000 0.344
Mg2 0.000 0.000 0.656
Mg3 0.000 0.344 0.000
Mg4 0.000 0.344 0.656
Mg5 0.000 0.656 0.000
Mg6 0.000 0.656 0.344
Mg7 0.165 0.612 0.612
Mg8 0.344 0.000 0.000
Mg9 0.344 0.000 0.656
Mg10 0.344 0.656 0.000
Mg11 0.388 0.388 0.388
Mg12 0.388 0.388 0.835
Mg13 0.388 0.835 0.388
Mg14 0.612 0.165 0.612
Mg15 0.612 0.612 0.165
Mg16 0.612 0.612 0.612
Mg17 0.656 0.000 0.000
Mg18 0.656 0.000 0.344
Mg19 0.656 0.344 0.000
Mg20 0.835 0.388 0.388
Ga1 0.264 0.264 0.736
Ga2 0.264 0.736 0.264
Ga3 0.264 0.736 0.736
Ga4 0.736 0.264 0.264
Ga5 0.736 0.264 0.736
Ga6 0.736 0.736 0.264

Most intense lines, 10 to 80 degrees two-theta, most intense first:
2θ 21.90, intensity 100
2θ 42.66, intensity 90
2θ 36.14, intensity 82
2θ 25.34, intensity 38
2θ 65.00, intensity 33
2θ 33.11, intensity 32
2θ 57.12, intensity 28
2θ 37.86, intensity 21
2θ 52.04, intensity 13
2θ 69.48, intensity 13
2θ 28.39, intensity 13
2θ 44.66, intensity 12


No. 3
Structure and calculated XRD peak list of NaAl2O4 (a structure optimized by DFT (GGA-PBE); Cu Kα (weighted mean of Kα1 and Kα2)).
Kinematic intensities with the Lorentz-polarization factor, no thermal factor.

Structural model:
Cell: 5.441 5.441 7.447 Å, 90.00 90.00 123.36°
Fractional positions:
Na1 0.000 0.000 0.250
Na2 0.000 0.000 0.750
Al1 0.254 0.725 0.000
Al2 0.275 0.746 0.500
Al3 0.725 0.254 0.500
Al4 0.746 0.275 0.000
O1 0.000 0.500 0.340
O2 0.000 0.500 0.660
O3 0.111 0.342 0.000
O4 0.342 0.111 0.500
O5 0.500 0.000 0.160
O6 0.500 0.000 0.840
O7 0.658 0.889 0.500
O8 0.889 0.658 0.000

Most intense lines, 10 to 80 degrees two-theta, most intense first:
2θ 18.52, intensity 100
2θ 46.84, intensity 74
2θ 30.40, intensity 51
2θ 41.45, intensity 38
2θ 23.90, intensity 36
2θ 35.17, intensity 34
2θ 74.25, intensity 26
2θ 19.53, intensity 25
2θ 37.55, intensity 23
2θ 31.05, intensity 18
2θ 58.08, intensity 18
2θ 52.09, intensity 16


No. 4
Structure and calculated XRD peak list of Tb5CePr2 (a structure optimized by DFT (GGA-PBE); Cu Kα (weighted mean of Kα1 and Kα2)).
Kinematic intensities with the Lorentz-polarization factor, no thermal factor.

Structural model:
Cell: 10.746 10.746 10.746 Å, 152.57 152.57 39.18°
Fractional positions:
Tb1 0.000 0.000 0.000
Tb2 0.121 0.621 0.500
Tb3 0.379 0.879 0.500
Tb4 0.621 0.121 0.500
Tb5 0.879 0.379 0.500
Ce1 0.500 0.500 0.000
Pr1 0.252 0.252 0.000
Pr2 0.748 0.748 0.000

Most intense lines, 10 to 80 degrees two-theta, most intense first:
2θ 30.45, intensity 100
2θ 35.22, intensity 34
2θ 60.27, intensity 29
2θ 50.85, intensity 24
2θ 35.47, intensity 16
2θ 60.60, intensity 14
2θ 50.67, intensity 12
2θ 63.37, intensity 12
2θ 74.48, intensity 4
2θ 75.06, intensity 2